Theoretical powder X-ray diffraction pattern
Compound: V12ZnGe3
Radiation: a wavelength of 1.5418 Å
Structure: DFT lattice parameters and positions (PBE)

Structure:
Lattice parameters (Å, degrees): 4.769 4.773 9.492 90.00 90.00 90.00
Space group Pmmm (No. 47)
Unique sites:
V 0.000 0.000 0.123 (multiplicity 2)
V 0.000 0.000 0.372 (multiplicity 2)
V 0.251 0.500 0.000 (multiplicity 2)
V 0.252 0.500 0.500 (multiplicity 2)
V 0.500 0.253 0.252 (multiplicity 4)
Zn 0.500 0.000 0.000 (multiplicity 1)
Ge 0.000 0.500 0.251 (multiplicity 2)
Ge 0.500 0.000 0.500 (multiplicity 1)

Principal peaks in the range 2θ from 15° to 90°, sorted by position:
(hkl)	two_theta	I_rel
1 0 2	26.47	126
2 0 0	37.71	468
0 0 4	37.91	230
2 0 2	42.38	837
0 1 4	42.55	421
2 1 2	46.67	1000
1 1 4	46.80	479
1 3 4	74.46	338
2 1 6	74.69	227
4 0 0	80.53	142

---

Theoretical powder X-ray diffraction pattern
Compound: ZrV2Ge4
Radiation: a wavelength of 1.5418 Å
Structure: DFT lattice parameters and positions (PBE)

Structure:
Lattice parameters (Å, degrees): 5.051 5.051 12.452 90.00 90.00 90.00
Space group I4/mmm (No. 139)
Unique sites:
Zr 0.000 0.000 0.000 (multiplicity 2)
V 0.000 0.000 0.420 (multiplicity 4)
Ge 0.000 0.000 0.213 (multiplicity 4)
Ge 0.000 0.500 0.000 (multiplicity 4)

Principal peaks in the range 2θ from 15° to 90°, sorted by position:
(hkl)	two_theta	I_rel
1 1 0	24.93	400
0 0 4	28.68	307
1 1 2	28.82	273
2 0 0	35.55	1000
2 0 2	38.47	171
1 0 5	40.38	554
2 0 4	46.29	328
2 2 0	51.15	342
2 1 5	54.87	435
2 2 4	59.72	224

---

Theoretical powder X-ray diffraction pattern
Compound: ZrV6Ge4
Radiation: a wavelength of 1.5418 Å
Structure: DFT lattice parameters and positions (PBE)

Structure:
Lattice parameters (Å, degrees): 6.528 6.528 8.873 90.00 90.00 90.00
Space group I-42m (No. 121)
Unique sites:
Zr 0.000 0.000 0.000 (multiplicity 2)
V 0.000 0.500 0.000 (multiplicity 4)
V 0.140 0.140 0.639 (multiplicity 8)
Ge 0.231 0.231 0.379 (multiplicity 8)

Principal peaks in the range 2θ from 15° to 90°, sorted by position:
(hkl)	two_theta	I_rel
1 1 2	27.89	607
2 1 1	32.28	587
1 0 3	33.26	623
2 0 2	34.10	381
2 2 0	39.03	897
3 0 1	42.79	465
2 2 2	44.24	377
3 1 2	48.65	991
2 0 4	49.70	1000
3 1 6	79.81	341

---

Theoretical powder X-ray diffraction pattern
Compound: GeW
Radiation: a wavelength of 1.5418 Å
Structure: DFT lattice parameters and positions (PBE)

Structure:
Lattice parameters (Å, degrees): 5.020 5.279 9.529 90.00 90.00 90.00
Space group P2_12_12_1 (No. 19)
Unique sites:
Ge 0.080 0.084 0.203 (multiplicity 4)
Ge 0.204 0.396 0.546 (multiplicity 4)
W 0.076 0.575 0.800 (multiplicity 4)
W 0.204 0.890 0.446 (multiplicity 4)

Principal peaks in the range 2θ from 15° to 90°, sorted by position:
(hkl)	two_theta	I_rel
1 0 1	19.99	237
1 1 2	30.93	429
1 1 3	37.59	479
1 2 1	39.73	993
2 0 2	40.63	536
2 1 1	40.92	626
0 1 4	41.59	1000
1 2 2	43.13	488
2 1 2	44.25	314
2 0 3	46.09	278

---

Theoretical powder X-ray diffraction pattern
Compound: Ge3W5
Radiation: a wavelength of 1.5418 Å
Structure: DFT lattice parameters and positions (PBE)

Structure:
Lattice parameters (Å, degrees): 9.886 9.886 5.070 90.00 90.00 90.00
Space group I4/mcm (No. 140)
Unique sites:
Ge 0.000 0.000 0.250 (multiplicity 4)
Ge 0.170 0.330 0.000 (multiplicity 8)
W 0.000 0.500 0.250 (multiplicity 4)
W 0.074 0.231 0.500 (multiplicity 16)

Principal peaks in the range 2θ from 15° to 90°, sorted by position:
(hkl)	two_theta	I_rel
2 1 1	26.75	209
0 0 2	35.41	257
4 0 0	36.35	207
3 2 1	37.28	573
2 0 2	39.97	433
4 2 0	40.82	623
4 1 1	41.67	1000
2 2 2	44.13	583
4 4 2	64.80	198
6 0 2	67.84	452

---

Theoretical powder X-ray diffraction pattern
Compound: Y3Ge5
Radiation: a wavelength of 1.5418 Å
Structure: DFT lattice parameters and positions (PBE)

Structure:
Lattice parameters (Å, degrees): 5.790 17.441 13.788 90.00 90.00 90.00
Space group Fdd2 (No. 43)
Unique sites:
Y 0.000 0.000 0.000 (multiplicity 8)
Y 0.015 0.168 0.508 (multiplicity 16)
Ge 0.000 0.000 0.448 (multiplicity 8)
Ge 0.001 0.163 0.087 (multiplicity 16)
Ge 0.063 0.186 0.904 (multiplicity 16)

Principal peaks in the range 2θ from 15° to 90°, sorted by position:
(hkl)	two_theta	I_rel
1 3 3	29.18	655
0 4 4	33.13	168
0 6 2	33.46	1000
2 0 2	33.58	972
1 3 5	39.37	972
2 6 0	44.16	902
1 3 7	51.47	339
1 9 5	60.55	211
3 3 5	60.70	190
2 12 2	74.31	192

---

Theoretical powder X-ray diffraction pattern
Compound: YGe3
Radiation: a wavelength of 1.5418 Å
Structure: DFT lattice parameters and positions (PBE)

Structure:
Lattice parameters (Å, degrees): 4.050 3.930 10.718 90.00 100.87 90.00
Space group P2_1/m (No. 11)
Unique sites:
Y 0.082 0.250 0.165 (multiplicity 2)
Ge 0.192 0.750 0.382 (multiplicity 2)
Ge 0.311 0.750 0.621 (multiplicity 2)
Ge 0.461 0.250 0.922 (multiplicity 2)

Principal peaks in the range 2θ from 15° to 90°, sorted by position:
(hkl)	two_theta	I_rel
1 0 -3	30.63	153
1 1 0	32.02	157
0 0 4	34.07	289
1 1 1	34.26	1000
1 1 2	38.41	431
0 1 4	41.29	126
2 0 -1	44.75	271
0 2 0	46.20	236
2 2 -1	66.27	163
3 1 0	75.70	150

---

Theoretical powder X-ray diffraction pattern
Compound: Y3Zn6Ge5
Radiation: a wavelength of 1.5418 Å
Structure: DFT lattice parameters and positions (PBE)

Structure:
Lattice parameters (Å, degrees): 4.099 12.324 10.379 90.00 90.00 90.00
Space group Pmmn (No. 59, origin choice 2)
Unique sites:
Y 0.250 0.081 0.249 (multiplicity 4)
Y 0.250 0.750 0.242 (multiplicity 2)
Zn 0.250 0.084 0.881 (multiplicity 4)
Zn 0.250 0.250 0.030 (multiplicity 2)
Zn 0.250 0.250 0.489 (multiplicity 2)
Zn 0.250 0.594 0.507 (multiplicity 4)
Ge 0.250 0.084 0.643 (multiplicity 4)
Ge 0.250 0.612 0.975 (multiplicity 4)
Ge 0.250 0.750 0.686 (multiplicity 2)

Principal peaks in the range 2θ from 15° to 90°, sorted by position:
(hkl)	two_theta	I_rel
1 3 0	30.82	68
1 0 3	33.89	386
1 3 2	35.44	1000
2 0 0	44.14	503
1 3 4	46.98	110
0 3 5	49.19	187
1 6 3	56.79	153
2 6 0	64.20	143
2 3 5	68.21	150
3 3 2	75.60	104

---

Theoretical powder X-ray diffraction pattern
Compound: YZnGe2
Radiation: a wavelength of 1.5418 Å
Structure: DFT lattice parameters and positions (PBE)

Structure:
Lattice parameters (Å, degrees): 4.3905 4.3905 14.6515 90.00 90.00 120.00
Space group R-3m (No. 166, hexagonal axes)
Unique sites:
Y 0.0000 0.0000 0.0000 (multiplicity 3)
Zn 0.0000 0.0000 0.5000 (multiplicity 3)
Ge 0.0000 0.0000 0.2179 (multiplicity 6)

Principal peaks in the range 2θ from 15° to 90°, sorted by position:
(hkl)	two_theta	I_rel
0 0 3	18.16	96
1 0 1	24.18	86
1 0 4	33.98	1000
0 1 5	38.80	209
1 1 0	41.12	807
0 2 4	54.37	252
1 0 10	68.65	88
2 1 4	70.37	225
3 0 0	74.93	130
2 2 0	89.23	84

---

Theoretical powder X-ray diffraction pattern
Compound: YZn11Ge
Radiation: a wavelength of 1.5418 Å
Structure: DFT lattice parameters and positions (PBE)

Structure:
Lattice parameters (Å, degrees): 5.296 12.718 6.770 90.00 112.28 90.00
Space group C2/m (No. 12)
Unique sites:
Y 0.000 0.000 0.000 (multiplicity 2)
Zn 0.000 0.500 0.500 (multiplicity 2)
Zn 0.095 0.391 0.211 (multiplicity 8)
Zn 0.185 0.180 0.352 (multiplicity 8)
Zn 0.250 0.250 0.000 (multiplicity 4)
Ge 0.000 0.000 0.500 (multiplicity 2)

Principal peaks in the range 2θ from 15° to 90°, sorted by position:
(hkl)	two_theta	I_rel
1 3 1	34.44	387
1 3 -2	34.72	371
2 2 0	39.41	766
2 2 -2	39.74	616
1 5 0	39.97	894
1 1 2	40.24	431
0 4 2	40.42	1000
1 1 -3	40.65	374
2 4 -1	44.53	722
2 0 -3	45.16	832

---

Theoretical powder X-ray diffraction pattern
Compound: Y4Zn5Ge6
Radiation: a wavelength of 1.5418 Å
Structure: DFT lattice parameters and positions (PBE)

Structure:
Lattice parameters (Å, degrees): 4.256 18.626 15.330 90.00 90.00 90.00
Space group Cmc2_1 (No. 36)
Unique sites:
Y 0.000 0.020 0.000 (multiplicity 4)
Y 0.000 0.033 0.736 (multiplicity 4)
Y 0.000 0.168 0.197 (multiplicity 4)
Y 0.000 0.176 0.555 (multiplicity 4)
Zn 0.000 0.151 0.873 (multiplicity 4)
Zn 0.000 0.301 0.875 (multiplicity 4)
Zn 0.000 0.345 0.224 (multiplicity 4)
Zn 0.000 0.350 0.518 (multiplicity 4)
Zn 0.000 0.434 0.814 (multiplicity 4)
Ge 0.000 0.113 0.382 (multiplicity 4)
Ge 0.000 0.222 0.013 (multiplicity 4)
Ge 0.000 0.227 0.735 (multiplicity 4)
Ge 0.000 0.431 0.091 (multiplicity 4)
Ge 0.000 0.432 0.369 (multiplicity 4)
Ge 0.000 0.440 0.645 (multiplicity 4)

Principal peaks in the range 2θ from 15° to 90°, sorted by position:
(hkl)	two_theta	I_rel
1 1 4	31.79	305
1 5 0	31.93	215
1 5 1	32.47	298
1 3 4	34.65	259
0 0 6	35.11	268
1 5 3	36.56	1000
1 5 4	39.84	181
2 0 0	42.46	741
1 7 4	46.72	319
1 3 7	49.03	214

---

Theoretical powder X-ray diffraction pattern
Compound: Y3Zn2Ge3
Radiation: a wavelength of 1.5418 Å
Structure: DFT lattice parameters and positions (PBE)

Structure:
Lattice parameters (Å, degrees): 4.222 11.021 14.348 90.00 90.00 90.00
Space group Cmcm (No. 63)
Unique sites:
Y 0.000 0.069 0.114 (multiplicity 8)
Y 0.000 0.354 0.250 (multiplicity 4)
Zn 0.000 0.226 0.598 (multiplicity 8)
Ge 0.000 0.360 0.750 (multiplicity 4)
Ge 0.000 0.383 0.043 (multiplicity 8)

Principal peaks in the range 2θ from 15° to 90°, sorted by position:
(hkl)	two_theta	I_rel
1 3 0	32.30	258
1 3 1	32.92	479
1 1 4	33.78	1000
0 2 5	35.26	201
1 3 3	37.51	887
0 0 6	37.63	348
1 3 4	41.16	227
0 4 4	41.32	205
2 0 0	42.84	480
1 7 0	63.01	202